[1]
For Pu3Tc2Ge3, a structure optimized by DFT (GGA-PBE) gives the simulated X-ray powder pattern in this record (Cu Kα (weighted mean of Kα1 and Kα2)).

The 6 most intense peaks (10° ≤ 2θ ≤ 90°), sorted by position:
| d (Å) | intensity |
| --- | --- |
| 3.235 | 27 |
| 2.674 | 28 |
| 2.387 | 100 |
| 2.223 | 29 |
| 1.474 | 23 |
| 1.471 | 19 |

Cell and atoms:
Lattice parameters (Å, degrees): 8.1686 8.1686 5.3006 90.00 90.00 120.00
Space group P6_3/mcm (No. 193)
Asymmetric unit:
Pu: 0.0000 0.2410 0.2500 [6 per cell]
Tc: 0.3333 0.6667 0.0000 [4 per cell]
Ge: 0.0000 0.4104 0.7500 [6 per cell]

[2]
For Sr5Ca5P6Cl2O24, a structure optimized by DFT (GGA-PBE) gives the simulated X-ray powder pattern in this record (Cu Kα (weighted mean of Kα1 and Kα2)).

The 6 most intense peaks (10° ≤ 2θ ≤ 90°), sorted by position:
| d (Å) | intensity |
| --- | --- |
| 2.949 | 100 |
| 2.865 | 89 |
| 2.384 | 24 |
| 2.026 | 23 |
| 1.900 | 21 |
| 1.897 | 29 |

Cell and atoms:
Lattice parameters (Å, degrees): 9.9299 7.0043 9.9300 90.00 119.91 90.00
Space group Pm (No. 6)
Asymmetric unit:
Sr: 0.0000 0.0000 0.0000 [1 per cell]
Sr: 0.0085 0.5000 0.4994 [1 per cell]
Sr: 0.2547 0.5000 0.0017 [1 per cell]
Sr: 0.7449 0.5000 0.7434 [1 per cell]
Sr: 0.7535 0.0000 0.4925 [1 per cell]
Ca: 0.2753 0.0000 0.7713 [1 per cell]
Ca: 0.3357 0.2473 0.4131 [2 per cell]
Ca: 0.6727 0.2529 0.0829 [2 per cell]
P: 0.0390 0.5000 0.1651 [1 per cell]
P: 0.3847 0.5000 0.7210 [1 per cell]
P: 0.4182 0.0000 0.1271 [1 per cell]
P: 0.5880 0.5000 0.3675 [1 per cell]
P: 0.6202 0.0000 0.7804 [1 per cell]
P: 0.9694 0.0000 0.3318 [1 per cell]
Cl: 0.0054 0.2460 0.7485 [2 per cell]
O: 0.0873 0.3216 0.1066 [2 per cell]
O: 0.1405 0.5000 0.3468 [1 per cell]
O: 0.1451 0.0000 0.3833 [1 per cell]
O: 0.2795 0.3196 0.6792 [2 per cell]
O: 0.3593 0.1769 0.0183 [2 per cell]
O: 0.3627 0.0000 0.2482 [1 per cell]
O: 0.4065 0.5000 0.2871 [1 per cell]
O: 0.4580 0.5000 0.6128 [1 per cell]
O: 0.4995 0.0000 0.6038 [1 per cell]
O: 0.5133 0.5000 0.8953 [1 per cell]
O: 0.5385 0.0000 0.8808 [1 per cell]
O: 0.5995 0.0000 0.2076 [1 per cell]
O: 0.6431 0.5000 0.2458 [1 per cell]
O: 0.6460 0.3216 0.4744 [2 per cell]
O: 0.7271 0.1782 0.8299 [2 per cell]
O: 0.8626 0.5000 0.1107 [1 per cell]
O: 0.8662 0.0000 0.1500 [1 per cell]
O: 0.9209 0.1789 0.3896 [2 per cell]

[3]
For Pm2Y2Mg3, a structure optimized by DFT (GGA-PBE) gives the simulated X-ray powder pattern in this record (Cu Kα (weighted mean of Kα1 and Kα2)).

The 6 most intense peaks (10° ≤ 2θ ≤ 90°), sorted by position:
| d (Å) | intensity |
| --- | --- |
| 3.758 | 49 |
| 2.764 | 100 |
| 2.681 | 48 |
| 1.896 | 17 |
| 1.613 | 17 |
| 1.563 | 35 |

Cell and atoms:
Lattice parameters (Å, degrees): 3.7914 3.7914 28.2637 90.00 90.00 90.00
Space group I4/mmm (No. 139)
Asymmetric unit:
Pm: 0.0000 0.0000 0.0690 [4 per cell]
Y: 0.0000 0.0000 0.2077 [4 per cell]
Mg: 0.0000 0.0000 0.3601 [4 per cell]
Mg: 0.0000 0.0000 0.5000 [2 per cell]